1.
# UInBi
Calculated PXRD pattern, a wavelength of 1.5418 Å. Input: a PBE-relaxed structure.
Neutral-atom scattering factors, no anomalous dispersion.

Top 10 peaks for 10 to 80 degrees two-theta, by angle:
2θ (°)  Rel. int.
31.4  60
33.3  89
33.7  100
40.3  53
52.0  26
55.1  22
57.3  22
60.0  17
61.7  18
66.6  17

```
data_UInBi
_chemical_formula_sum 'U8 In8 Bi8'
_cell_length_a 6.0138
_cell_length_b 9.3468
_cell_length_c 11.4077
_cell_angle_alpha 90.00
_cell_angle_beta 90.00
_cell_angle_gamma 90.00
_space_group_name_H-M_alt 'F 2 2 2'
_space_group_IT_number 22
_space_group_name_Hall 'F 2 2'
loop_
_atom_site_label
_atom_site_type_symbol
_atom_site_fract_x
_atom_site_fract_y
_atom_site_fract_z
U1 U 0.0000 0.1335 0.0000
In1 In 0.2500 0.0855 0.2500
Bi1 Bi 0.0000 0.0000 0.5000
Bi2 Bi 0.2500 0.2500 0.7500
```

2.
# LiIn6Hg4
Calculated PXRD pattern, a wavelength of 1.5418 Å. Input: a PBE-relaxed structure.
Neutral-atom scattering factors, no anomalous dispersion.

Top 10 peaks for 10 to 80 degrees two-theta, by angle:
2θ (°)  Rel. int.
12.8  25
25.7  40
28.1  32
32.4  91
33.6  100
34.2  94
36.0  86
39.0  59
39.5  53
40.1  58

```
data_LiIn6Hg4
_chemical_formula_sum 'Li1 In6 Hg4'
_cell_length_a 6.3929
_cell_length_b 6.4564
_cell_length_c 7.5295
_cell_angle_alpha 76.19
_cell_angle_beta 71.49
_cell_angle_gamma 89.06
_space_group_name_H-M_alt 'P 1'
_space_group_IT_number 1
_space_group_name_Hall 'P 1'
loop_
_atom_site_label
_atom_site_type_symbol
_atom_site_fract_x
_atom_site_fract_y
_atom_site_fract_z
Li1 Li 0.0000 0.0000 0.0000
In1 In 0.0048 0.5070 0.9987
In2 In 0.1794 0.6154 0.3258
In3 In 0.3778 0.3521 0.6789
In4 In 0.4966 0.9796 0.9993
In5 In 0.6207 0.1820 0.3066
In6 In 0.8341 0.8195 0.6610
Hg1 Hg 0.1290 0.1432 0.3044
Hg2 Hg 0.3278 0.8545 0.6851
Hg3 Hg 0.6762 0.6887 0.3130
Hg4 Hg 0.8541 0.3190 0.7122
```

3.
# Ca2SmIn
Calculated PXRD pattern, a wavelength of 1.5418 Å. Input: a PBE-relaxed structure.
Neutral-atom scattering factors, no anomalous dispersion.

Top 10 peaks for 10 to 80 degrees two-theta, by angle:
2θ (°)  Rel. int.
21.3  37
23.8  15
30.2  60
32.1  100
38.8  17
43.3  22
48.7  16
54.9  42
58.4  16
71.3  16

```
data_Ca2SmIn
_chemical_formula_sum 'Ca2 Sm1 In1'
_cell_length_a 4.1808
_cell_length_b 4.1808
_cell_length_c 7.4811
_cell_angle_alpha 90.00
_cell_angle_beta 90.00
_cell_angle_gamma 90.00
_space_group_name_H-M_alt 'P 4/m m m'
_space_group_IT_number 123
_space_group_name_Hall '-P 4 2'
loop_
_atom_site_label
_atom_site_type_symbol
_atom_site_fract_x
_atom_site_fract_y
_atom_site_fract_z
Ca1 Ca 0.0000 0.0000 0.2290
Sm1 Sm 0.5000 0.5000 0.5000
In1 In 0.5000 0.5000 0.0000
```

4.
# Na5B7C3
Calculated PXRD pattern, a wavelength of 1.5418 Å. Input: a PBE-relaxed structure.
Neutral-atom scattering factors, no anomalous dispersion.

Top 10 peaks for 10 to 80 degrees two-theta, by angle:
2θ (°)  Rel. int.
35.0  11
36.1  18
41.1  51
42.0  100
42.3  38
56.8  10
63.5  18
65.6  9
77.2  13
79.3  17

```
data_Na5B7C3
_chemical_formula_sum 'Na20 B28 C12'
_cell_length_a 2.8442
_cell_length_b 25.6234
_cell_length_c 8.5426
_cell_angle_alpha 90.00
_cell_angle_beta 90.00
_cell_angle_gamma 90.00
_space_group_name_H-M_alt 'C m c m'
_space_group_IT_number 63
_space_group_name_Hall '-C 2c 2'
loop_
_atom_site_label
_atom_site_type_symbol
_atom_site_fract_x
_atom_site_fract_y
_atom_site_fract_z
Na1 Na 0.0000 0.0000 0.0000
Na2 Na 0.0000 0.1999 0.0022
Na3 Na 0.0000 0.4000 0.5012
B1 B 0.0000 0.0699 0.2500
B2 B 0.0000 0.1332 0.7500
B3 B 0.0000 0.2666 0.7500
B4 B 0.0000 0.2734 0.2500
B5 B 0.0000 0.3357 0.7500
B6 B 0.0000 0.4611 0.2500
B7 B 0.0000 0.4691 0.7500
C1 C 0.0000 0.0695 0.7500
C2 C 0.0000 0.1330 0.2500
C3 C 0.0000 0.3357 0.2500
```

5.
# Ca4CuPd2
Calculated PXRD pattern, a wavelength of 1.5418 Å. Input: a PBE-relaxed structure.
Neutral-atom scattering factors, no anomalous dispersion.

Top 10 peaks for 10 to 80 degrees two-theta, by angle:
2θ (°)  Rel. int.
12.0  41
16.2  38
24.1  29
31.6  100
32.8  23
38.8  41
39.4  50
39.5  51
41.0  33
46.3  23

```
data_Ca4CuPd2
_chemical_formula_sum 'Ca16 Cu4 Pd8'
_cell_length_a 11.5932
_cell_length_b 8.8002
_cell_length_c 7.8502
_cell_angle_alpha 90.00
_cell_angle_beta 109.57
_cell_angle_gamma 90.00
_space_group_name_H-M_alt 'C 1 m 1'
_space_group_IT_number 8
_space_group_name_Hall 'C -2y'
loop_
_atom_site_label
_atom_site_type_symbol
_atom_site_fract_x
_atom_site_fract_y
_atom_site_fract_z
Ca1 Ca 0.0000 0.0000 0.0000
Ca2 Ca 0.0022 0.5000 0.4972
Ca3 Ca 0.0095 0.5000 0.0083
Ca4 Ca 0.2696 0.2510 0.6395
Ca5 Ca 0.2821 0.2560 0.1399
Ca6 Ca 0.4960 0.5000 0.4970
Cu1 Cu 0.2092 0.0000 0.3542
Cu2 Cu 0.2201 0.0000 0.8625
Pd1 Pd 0.0643 0.2418 0.2824
Pd2 Pd 0.2195 0.5000 0.8546
Pd3 Pd 0.2210 0.5000 0.3686
```

6.
# TiCd2RhW
Calculated PXRD pattern, a wavelength of 1.5418 Å. Input: a PBE-relaxed structure.
Neutral-atom scattering factors, no anomalous dispersion.

Top 10 peaks for 10 to 80 degrees two-theta, by angle:
2θ (°)  Rel. int.
17.5  15
32.1  100
35.5  55
40.6  19
51.1  19
55.0  31
61.7  30
67.2  16
68.5  11
75.2  6

```
data_TiCd2RhW
_chemical_formula_sum 'Ti1 Cd2 Rh1 W1'
_cell_length_a 5.0549
_cell_length_b 5.0549
_cell_length_c 4.4491
_cell_angle_alpha 90.00
_cell_angle_beta 90.00
_cell_angle_gamma 90.00
_space_group_name_H-M_alt 'P 4/m m m'
_space_group_IT_number 123
_space_group_name_Hall '-P 4 2'
loop_
_atom_site_label
_atom_site_type_symbol
_atom_site_fract_x
_atom_site_fract_y
_atom_site_fract_z
Ti1 Ti 0.0000 0.0000 0.0000
Cd1 Cd 0.0000 0.5000 0.0000
Rh1 Rh 0.5000 0.5000 0.5000
W1 W 0.0000 0.0000 0.5000
```

7.
# NaCo4Sn12
Calculated PXRD pattern, a wavelength of 1.5418 Å. Input: a PBE-relaxed structure.
Neutral-atom scattering factors, no anomalous dispersion.

Top 10 peaks for 10 to 80 degrees two-theta, by angle:
2θ (°)  Rel. int.
19.2  11
30.5  100
36.3  51
43.7  22
46.0  11
48.1  20
50.2  13
58.1  30
61.7  15
68.7  20

```
data_NaCo4Sn12
_chemical_formula_sum 'Na2 Co8 Sn24'
_cell_length_a 9.2614
_cell_length_b 9.2614
_cell_length_c 9.2614
_cell_angle_alpha 90.00
_cell_angle_beta 90.00
_cell_angle_gamma 90.00
_space_group_name_H-M_alt 'I m -3'
_space_group_IT_number 204
_space_group_name_Hall '-I 2 2 3'
loop_
_atom_site_label
_atom_site_type_symbol
_atom_site_fract_x
_atom_site_fract_y
_atom_site_fract_z
Na1 Na 0.0000 0.0000 0.0000
Co1 Co 0.2500 0.2500 0.2500
Sn1 Sn 0.0000 0.1707 0.3263
```